[1]
LiMgTl2: simulated powder diffraction line list (Cu Kα X-rays), based on a structure optimized by DFT (GGA-PBE).
No peak broadening, texture or thermal motion is included.

Cell and atoms:
Cell: 5.1192 5.1192 5.1192 Å, 60.00 60.00 60.00°
Fractional positions:
Li1 0.0000 0.0000 0.0000
Mg1 0.5000 0.5000 0.5000
Tl1 0.2500 0.2500 0.2500
Tl2 0.7500 0.7500 0.7500

Most intense lines, 2θ from 10° to 90°, sorted by position:
Position (°2θ), intensity
24.59, 90
35.06, 100
43.29, 28
50.42, 18
56.88, 38
62.89, 38
79.42, 18
84.67, 17

---

[2]
Li2MgTl: simulated powder diffraction line list (Cu Kα X-rays), based on a structure optimized by DFT (GGA-PBE).
No peak broadening, texture or thermal motion is included.

Cell and atoms:
Cell: 4.7950 4.7950 4.7950 Å, 60.00 60.00 60.00°
Fractional positions:
Li1 0.2500 0.2500 0.2500
Li2 0.7500 0.7500 0.7500
Mg1 0.0000 0.0000 0.0000
Tl1 0.5000 0.5000 0.5000

Most intense lines, 2θ from 10° to 90°, sorted by position:
Position (°2θ), intensity
22.71, 100
26.28, 82
37.51, 78
44.30, 54
46.38, 24
59.41, 23
61.12, 32
67.69, 28

---

[3]
Li2MgTl: simulated powder diffraction line list (Cu Kα X-rays), based on a structure optimized by DFT (GGA-PBE).
No peak broadening, texture or thermal motion is included.

Cell and atoms:
Cell: 4.8451 4.8451 4.8451 Å, 60.00 60.00 60.00°
Fractional positions:
Li1 0.0000 0.0000 0.0000
Li2 0.2500 0.2500 0.2500
Mg1 0.5000 0.5000 0.5000
Tl1 0.7500 0.7500 0.7500

Most intense lines, 2θ from 10° to 90°, sorted by position:
Position (°2θ), intensity
22.47, 100
26.01, 41
37.11, 61
43.82, 53
58.74, 23
66.90, 22
71.55, 17
83.46, 17

---

[4]
LiMg6V: simulated powder diffraction line list (Cu Kα X-rays), based on a structure optimized by DFT (GGA-PBE).
No peak broadening, texture or thermal motion is included.

Cell and atoms:
Cell: 5.0322 6.2355 6.2355 Å, 61.21 90.00 90.00°
Fractional positions:
Li1 0.0000 0.0000 0.0000
Mg1 0.0000 0.0004 0.4976
Mg2 0.0000 0.4976 0.0004
Mg3 0.5000 0.3348 0.8220
Mg4 0.5000 0.3385 0.3385
Mg5 0.5000 0.8220 0.3348
Mg6 0.5000 0.8341 0.8341
V1 0.0000 0.4994 0.4994

Most intense lines, 2θ from 10° to 90°, sorted by position:
Position (°2θ), intensity
16.22, 30
24.04, 19
32.78, 24
35.68, 38
37.45, 100
38.00, 48
65.27, 19
71.16, 18

---

[5]
LiMg6V: simulated powder diffraction line list (Cu Kα X-rays), based on a structure optimized by DFT (GGA-PBE).
No peak broadening, texture or thermal motion is included.

Cell and atoms:
Cell: 5.0771 6.2356 6.2356 Å, 59.79 90.00 90.00°
Fractional positions:
Li1 0.0000 0.0000 0.0000
Mg1 0.0000 0.0014 0.4811
Mg2 0.0000 0.4811 0.0014
Mg3 0.0000 0.4967 0.4967
Mg4 0.5000 0.1590 0.6687
Mg5 0.5000 0.6641 0.6641
Mg6 0.5000 0.6687 0.1590
V1 0.5000 0.1646 0.1646

Most intense lines, 2θ from 10° to 90°, sorted by position:
Position (°2θ), intensity
16.42, 13
24.08, 11
33.25, 17
35.36, 27
37.77, 100
49.29, 17
65.06, 19
70.95, 12

---

[6]
LiMg14Zn: simulated powder diffraction line list (Cu Kα X-rays), based on a structure optimized by DFT (GGA-PBE).
No peak broadening, texture or thermal motion is included.

Cell and atoms:
Cell: 6.3052 6.3052 10.1907 Å, 90.00 90.00 120.00°
Fractional positions:
Li1 0.0000 0.0000 0.0000
Mg1 0.0004 0.5002 0.0000
Mg2 0.1645 0.3291 0.2522
Mg3 0.1645 0.3291 0.7478
Mg4 0.1645 0.8355 0.2522
Mg5 0.1645 0.8355 0.7478
Mg6 0.4998 0.9996 0.0000
Mg7 0.4998 0.5002 0.0000
Mg8 0.5007 0.0015 0.5000
Mg9 0.5007 0.4993 0.5000
Mg10 0.6667 0.3333 0.2490
Mg11 0.6667 0.3333 0.7510
Mg12 0.6709 0.8355 0.2522
Mg13 0.6709 0.8355 0.7478
Mg14 0.9985 0.4993 0.5000
Zn1 0.0000 0.0000 0.5000

Most intense lines, 2θ from 10° to 90°, sorted by position:
Position (°2θ), intensity
18.43, 19
32.80, 24
35.23, 26
37.37, 100
48.90, 15
58.56, 17
64.63, 19
70.21, 19

---

[7]
LiMg14Zn: simulated powder diffraction line list (Cu Kα X-rays), based on a structure optimized by DFT (GGA-PBE).
No peak broadening, texture or thermal motion is included.

Cell and atoms:
Cell: 10.1561 6.3244 6.3244 Å, 60.17 90.00 90.00°
Fractional positions:
Li1 0.0000 0.0000 0.0000
Mg1 0.0000 0.0000 0.4953
Mg2 0.0000 0.4953 0.0000
Mg3 0.2427 0.1697 0.6658
Mg4 0.2427 0.6658 0.1697
Mg5 0.2448 0.6637 0.6637
Mg6 0.2501 0.1651 0.1651
Mg7 0.5000 0.4984 0.4984
Mg8 0.5000 0.4996 0.9992
Mg9 0.5000 0.9984 0.9984
Mg10 0.5000 0.9992 0.4996
Mg11 0.7499 0.1651 0.1651
Mg12 0.7552 0.6637 0.6637
Mg13 0.7573 0.1697 0.6658
Mg14 0.7573 0.6658 0.1697
Zn1 0.0000 0.4977 0.4977

Most intense lines, 2θ from 10° to 90°, sorted by position:
Position (°2θ), intensity
18.38, 13
32.67, 24
35.35, 26
37.28, 100
48.90, 15
58.36, 11
64.73, 18
70.12, 12

---

[8]
LiMg6Zn: simulated powder diffraction line list (Cu Kα X-rays), based on a structure optimized by DFT (GGA-PBE).
No peak broadening, texture or thermal motion is included.

Cell and atoms:
Cell: 5.0448 6.2088 6.2088 Å, 60.12 90.00 90.00°
Fractional positions:
Li1 0.0000 0.0000 0.0000
Mg1 0.0000 0.0012 0.4908
Mg2 0.0000 0.4908 0.0012
Mg3 0.0000 0.4975 0.4975
Mg4 0.5000 0.1640 0.6694
Mg5 0.5000 0.6642 0.6642
Mg6 0.5000 0.6694 0.1640
Zn1 0.5000 0.1634 0.1634

Most intense lines, 2θ from 10° to 90°, sorted by position:
Position (°2θ), intensity
16.48, 22
17.58, 12
24.18, 22
33.31, 29
35.59, 26
37.90, 100
49.54, 18
65.45, 19